Record 1
Calculated X-ray diffraction stick pattern
Compound: Er6TcBi3
Radiation: CuKα
Structure: the GGA-PBE geometry in Alexandria

Largest 6 diffraction maxima, in order of rising 2θ, 2θ from 10° to 80°:
| Position (°2θ) | I (rel.) |
| --- | --- |
| 29.80 | 47 |
| 30.33 | 78 |
| 31.69 | 65 |
| 32.04 | 80 |
| 32.31 | 43 |
| 34.71 | 100 |

Structure:
a = 6.1777 Å, b = 8.5353 Å, c = 12.5679 Å
α = 90.00°, β = 118.15°, γ = 90.00°
Element x y z (fractional)
Er (0.0434, 0.2001, 0.4412)
Er (0.0434, 0.2999, 0.9412)
Er (0.3138, 0.6539, 0.4338)
Er (0.3138, 0.8461, 0.9338)
Er (0.3544, 0.0338, 0.2278)
Er (0.3544, 0.4662, 0.7278)
Er (0.6456, 0.5338, 0.2722)
Er (0.6456, 0.9662, 0.7722)
Er (0.6862, 0.1539, 0.0662)
Er (0.6862, 0.3461, 0.5662)
Er (0.9566, 0.7001, 0.0588)
Er (0.9566, 0.7999, 0.5588)
Tc (0.0000, 0.0000, 0.0000)
Tc (0.0000, 0.5000, 0.5000)
Bi (0.1478, 0.1214, 0.7396)
Bi (0.1478, 0.3786, 0.2396)
Bi (0.5000, 0.0000, 0.5000)
Bi (0.5000, 0.5000, 0.0000)
Bi (0.8522, 0.6214, 0.7604)
Bi (0.8522, 0.8786, 0.2604)

Record 2
Calculated X-ray diffraction stick pattern
Compound: Er6BiTe
Radiation: CuKα
Structure: the GGA-PBE geometry in Alexandria

Largest 6 diffraction maxima, in order of rising 2θ, 2θ from 10° to 80°:
| Position (°2θ) | I (rel.) |
| --- | --- |
| 29.12 | 33 |
| 32.65 | 100 |
| 35.86 | 77 |
| 53.90 | 24 |
| 56.11 | 43 |
| 70.34 | 22 |

Structure:
a = 6.1334 Å, b = 6.1334 Å, c = 6.1334 Å
α = 90.04°, β = 90.04°, γ = 90.04°
Element x y z (fractional)
Er (0.0000, 0.4998, 0.2510)
Er (0.0000, 0.5002, 0.7490)
Er (0.2510, 0.0000, 0.4998)
Er (0.4998, 0.2510, 0.0000)
Er (0.5002, 0.7490, 0.0000)
Er (0.7490, 0.0000, 0.5002)
Bi (0.5000, 0.5000, 0.5000)
Te (0.0000, 0.0000, 0.0000)

Record 3
Calculated X-ray diffraction stick pattern
Compound: ErBi2Te4
Radiation: CuKα
Structure: the GGA-PBE geometry in Alexandria

Largest 6 diffraction maxima, in order of rising 2θ, 2θ from 10° to 80°:
| Position (°2θ) | I (rel.) |
| --- | --- |
| 21.26 | 73 |
| 26.64 | 56 |
| 28.05 | 73 |
| 29.98 | 100 |
| 37.81 | 94 |
| 38.80 | 59 |

Structure:
a = 8.1617 Å, b = 8.1617 Å, c = 14.7761 Å
α = 90.00°, β = 90.00°, γ = 150.55°
Element x y z (fractional)
Er (0.1144, 0.8856, 0.7500)
Er (0.8856, 0.1144, 0.2500)
Bi (0.3663, 0.6337, 0.5723)
Bi (0.3663, 0.6337, 0.9277)
Bi (0.6337, 0.3663, 0.0723)
Bi (0.6337, 0.3663, 0.4277)
Te (0.0000, 0.0000, 0.0000)
Te (0.0000, 0.0000, 0.5000)
Te (0.2945, 0.7055, 0.1234)
Te (0.2945, 0.7055, 0.3766)
Te (0.4737, 0.5263, 0.7500)
Te (0.5263, 0.4737, 0.2500)
Te (0.7055, 0.2945, 0.6234)
Te (0.7055, 0.2945, 0.8766)

Record 4
Calculated X-ray diffraction stick pattern
Compound: ErTl3Bi3Te8
Radiation: CuKα
Structure: the GGA-PBE geometry in Alexandria

Largest 6 diffraction maxima, in order of rising 2θ, 2θ from 10° to 80°:
| Position (°2θ) | I (rel.) |
| --- | --- |
| 27.39 | 100 |
| 38.23 | 39 |
| 40.01 | 37 |
| 49.17 | 20 |
| 62.68 | 17 |
| 65.18 | 17 |

Structure:
a = 9.0112 Å, b = 9.0112 Å, c = 9.4277 Å
α = 118.45°, β = 118.45°, γ = 60.06°
Element x y z (fractional)
Er (0.0000, 0.0000, 0.0000)
Tl (0.0000, 0.0000, 0.5000)
Tl (0.0000, 0.5000, 0.5000)
Tl (0.5000, 0.0000, 0.5000)
Bi (0.0000, 0.5000, 0.0000)
Bi (0.5000, 0.0000, 0.0000)
Bi (0.5000, 0.5000, 0.0000)
Te (0.2375, 0.2375, 0.2239)
Te (0.2374, 0.7486, 0.2238)
Te (0.2514, 0.7626, 0.7762)
Te (0.2571, 0.2571, 0.7711)
Te (0.7429, 0.7429, 0.2289)
Te (0.7486, 0.2374, 0.2238)
Te (0.7626, 0.2514, 0.7762)
Te (0.7625, 0.7625, 0.7761)

Record 5
Calculated X-ray diffraction stick pattern
Compound: Er5ThBi4
Radiation: CuKα
Structure: the GGA-PBE geometry in Alexandria

Largest 6 diffraction maxima, in order of rising 2θ, 2θ from 10° to 80°:
| Position (°2θ) | I (rel.) |
| --- | --- |
| 24.43 | 45 |
| 26.06 | 38 |
| 32.34 | 100 |
| 32.53 | 70 |
| 37.99 | 58 |
| 41.38 | 36 |

Structure:
a = 10.2867 Å, b = 10.2867 Å, c = 7.6815 Å
α = 100.71°, β = 100.71°, γ = 24.50°
Element x y z (fractional)
Er (0.0000, 0.0000, 0.0000)
Er (0.2990, 0.2990, 0.8879)
Er (0.3118, 0.3118, 0.4152)
Er (0.6882, 0.6882, 0.5848)
Er (0.7010, 0.7010, 0.1121)
Th (0.0000, 0.0000, 0.5000)
Bi (0.1332, 0.1332, 0.8251)
Bi (0.4330, 0.4330, 0.7303)
Bi (0.5670, 0.5670, 0.2697)
Bi (0.8668, 0.8668, 0.1749)

Record 6
Calculated X-ray diffraction stick pattern
Compound: Er6Tl6Bi
Radiation: CuKα
Structure: the GGA-PBE geometry in Alexandria

Largest 6 diffraction maxima, in order of rising 2θ, 2θ from 10° to 80°:
| Position (°2θ) | I (rel.) |
| --- | --- |
| 31.83 | 58 |
| 32.65 | 58 |
| 35.00 | 33 |
| 36.45 | 100 |
| 56.71 | 33 |
| 68.41 | 29 |

Structure:
a = 6.4925 Å, b = 6.4925 Å, c = 10.2545 Å
α = 90.00°, β = 90.00°, γ = 120.00°
Element x y z (fractional)
Er (0.0000, 0.0000, 0.1906)
Er (0.0000, 0.0000, 0.8094)
Er (0.3333, 0.6667, 0.0000)
Er (0.3333, 0.6667, 0.5000)
Er (0.6667, 0.3333, 0.0000)
Er (0.6667, 0.3333, 0.5000)
Tl (0.0000, 0.5000, 0.2486)
Tl (0.0000, 0.5000, 0.7514)
Tl (0.5000, 0.0000, 0.2486)
Tl (0.5000, 0.0000, 0.7514)
Tl (0.5000, 0.5000, 0.2486)
Tl (0.5000, 0.5000, 0.7514)
Bi (0.0000, 0.0000, 0.5000)

Record 7
Calculated X-ray diffraction stick pattern
Compound: Er4Tm3Bi4
Radiation: CuKα
Structure: the GGA-PBE geometry in Alexandria

Largest 6 diffraction maxima, in order of rising 2θ, 2θ from 10° to 80°:
| Position (°2θ) | I (rel.) |
| --- | --- |
| 32.52 | 100 |
| 34.83 | 17 |
| 36.43 | 19 |
| 41.63 | 14 |
| 63.09 | 14 |
| 70.23 | 14 |

Structure:
a = 9.8664 Å, b = 8.0267 Å, c = 8.0267 Å
α = 31.36°, β = 90.00°, γ = 90.00°
Element x y z (fractional)
Er (0.0000, 0.0000, 0.0000)
Er (0.2471, 0.5069, 0.5069)
Er (0.5000, 0.0223, 0.0223)
Er (0.7529, 0.5069, 0.5069)
Tm (0.0000, 0.6775, 0.6775)
Tm (0.2688, 0.8218, 0.8218)
Tm (0.7312, 0.8218, 0.8218)
Bi (0.0000, 0.3457, 0.3457)
Bi (0.2466, 0.1596, 0.1596)
Bi (0.5000, 0.3649, 0.3649)
Bi (0.7534, 0.1596, 0.1596)

Record 8
Calculated X-ray diffraction stick pattern
Compound: Er3TmBi3
Radiation: CuKα
Structure: the GGA-PBE geometry in Alexandria

Largest 6 diffraction maxima, in order of rising 2θ, 2θ from 10° to 80°:
| Position (°2θ) | I (rel.) |
| --- | --- |
| 30.38 | 100 |
| 36.12 | 69 |
| 43.49 | 18 |
| 49.98 | 18 |
| 61.42 | 30 |
| 75.01 | 18 |

Structure:
a = 9.3052 Å, b = 9.3052 Å, c = 9.3052 Å
α = 90.00°, β = 90.00°, γ = 90.00°
Element x y z (fractional)
Er (0.0733, 0.4267, 0.5733)
Er (0.1761, 0.1761, 0.1761)
Er (0.1757, 0.8243, 0.3243)
Er (0.3243, 0.1757, 0.8243)
Er (0.3239, 0.8239, 0.6761)
Er (0.4267, 0.5733, 0.0733)
Er (0.5733, 0.0733, 0.4267)
Er (0.6761, 0.3239, 0.8239)
Er (0.6757, 0.6757, 0.6757)
Er (0.8243, 0.3243, 0.1757)
Er (0.8239, 0.6761, 0.3239)
Er (0.9267, 0.9267, 0.9267)
Tm (0.0745, 0.5745, 0.9255)
Tm (0.4255, 0.4255, 0.4255)
Tm (0.5745, 0.9255, 0.0745)
Tm (0.9255, 0.0745, 0.5745)
Bi (0.0004, 0.2510, 0.8747)
Bi (0.9996, 0.7510, 0.6253)
Bi (0.1253, 0.5004, 0.2490)
Bi (0.2490, 0.1253, 0.5004)
Bi (0.2510, 0.8747, 0.0004)
Bi (0.3747, 0.4996, 0.7490)
Bi (0.5004, 0.2490, 0.1253)
Bi (0.4996, 0.7490, 0.3747)
Bi (0.6253, 0.9996, 0.7510)
Bi (0.7490, 0.3747, 0.4996)
Bi (0.7510, 0.6253, 0.9996)
Bi (0.8747, 0.0004, 0.2510)

Copy entry 7 word for word.
Calculated X-ray diffraction stick pattern
Compound: Er4Tm3Bi4
Radiation: CuKα
Structure: the GGA-PBE geometry in Alexandria

Largest 6 diffraction maxima, in order of rising 2θ, 2θ from 10° to 80°:
| Position (°2θ) | I (rel.) |
| --- | --- |
| 32.52 | 100 |
| 34.83 | 17 |
| 36.43 | 19 |
| 41.63 | 14 |
| 63.09 | 14 |
| 70.23 | 14 |

Structure:
a = 9.8664 Å, b = 8.0267 Å, c = 8.0267 Å
α = 31.36°, β = 90.00°, γ = 90.00°
Element x y z (fractional)
Er (0.0000, 0.0000, 0.0000)
Er (0.2471, 0.5069, 0.5069)
Er (0.5000, 0.0223, 0.0223)
Er (0.7529, 0.5069, 0.5069)
Tm (0.0000, 0.6775, 0.6775)
Tm (0.2688, 0.8218, 0.8218)
Tm (0.7312, 0.8218, 0.8218)
Bi (0.0000, 0.3457, 0.3457)
Bi (0.2466, 0.1596, 0.1596)
Bi (0.5000, 0.3649, 0.3649)
Bi (0.7534, 0.1596, 0.1596)